This entry pairs a crystal structure of K4CO4 with its calculated powder diffraction line list. Radiation: Cu Kα (λ = 1.5418 Å). Structure: the GGA-PBE geometry in Alexandria.
No peak broadening, texture or thermal motion is included.

Structural model:
a = 5.8155 Å, b = 5.8155 Å, c = 6.1580 Å
α = 112.49°, β = 112.49°, γ = 61.47°
Sites, in units of the cell vectors:
K (0.1326, 0.1326, 0.3690)
K (0.3677, 0.2946, 0.9551)
K (0.7054, 0.6323, 0.0449)
K (0.8674, 0.8674, 0.6310)
C (0.4230, 0.5770, 0.5000)
O (0.1686, 0.6068, 0.3195)
O (0.3932, 0.8314, 0.6805)
O (0.4913, 0.3723, 0.6131)
O (0.6277, 0.5087, 0.3869)

Most intense lines, 10° ≤ 2θ ≤ 90°, low angle first:
2θ 20.95, I 20
2θ 30.07, I 41
2θ 30.88, I 100
2θ 33.07, I 45
2θ 43.15, I 16
2θ 43.60, I 30